For K2Ag2SnCl6, DFT lattice parameters and positions (GGA-PBE) gives the theoretical powder diffractogram in this record (Cu Kα (λ = 1.5418 Å)).
Neutral-atom scattering factors, no anomalous dispersion.

Crystal structure
```
K2Ag2SnCl6
1.0
6.725 -3.863 0.000
6.725 3.863 0.000
-3.597 0.000 6.633
K Ag Sn Cl
2 2 1 6
Direct
0.234 0.234 0.171
0.766 0.766 0.829
0.437 0.437 0.778
0.563 0.563 0.222
0.000 0.000 0.500
0.179 0.679 0.182
0.228 0.228 0.579
0.321 0.821 0.818
0.679 0.179 0.182
0.772 0.772 0.421
0.821 0.321 0.818
```

Most intense lines, 2θ from 15° to 90°, low angle first:
| 2θ/deg | d_spacing | I/Imax |
| --- | --- | --- |
| 16.46 | 5.386 | 49 |
| 23.07 | 3.856 | 100 |
| 26.83 | 3.323 | 68 |
| 33.86 | 2.648 | 26 |
| 35.64 | 2.519 | 15 |
| 40.48 | 2.228 | 15 |
| 42.85 | 2.110 | 17 |
| 44.39 | 2.041 | 16 |
| 45.62 | 1.989 | 17 |
| 47.04 | 1.932 | 15 |